The following is a calculated PXRD pattern of Nb2F5. It was derived from DFT lattice parameters and positions (PBE), using Cu Kα (weighted mean of Kα1 and Kα2).
No peak broadening, texture or thermal motion is included.

Cell and atoms:
a = 8.0962 Å, b = 8.0962 Å, c = 8.0962 Å
α = 90.00°, β = 90.00°, γ = 90.00°
Space group Im-3m (No. 229)
Inequivalent atoms, fractional coordinates:
Nb: 0.0000 0.0000 0.2430 (multiplicity 12)
F: 0.0000 0.0000 0.5000 (multiplicity 6)
F: 0.0000 0.2568 0.2568 (multiplicity 24)

Most intense lines, 2θ = 10–80°, in order of rising 2θ:
two_theta, I (rel.)
15.5, 100.0
22.0, 20.0
27.0, 56.4
31.2, 24.0
35.0, 20.6
41.7, 52.5
44.8, 70.9
53.1, 17.8
58.1, 16.8
65.2, 40.4

The following is a calculated PXRD pattern of Rb5Nb3OF18. It was derived from DFT lattice parameters and positions (PBE), using Cu Kα (weighted mean of Kα1 and Kα2).
No peak broadening, texture or thermal motion is included.

Cell and atoms:
a = 14.8417 Å, b = 14.8417 Å, c = 7.6121 Å
α = 90.00°, β = 90.00°, γ = 90.00°
Space group I4cm (No. 108)
Inequivalent atoms, fractional coordinates:
Rb: 0.0000 0.5000 0.0000 (multiplicity 4)
Rb: 0.0822 0.2202 0.2669 (multiplicity 16)
Nb: 0.0000 0.0000 0.4869 (multiplicity 4)
Nb: 0.1565 0.3435 0.7346 (multiplicity 8)
O: 0.0000 0.0000 0.2252 (multiplicity 4)
F: 0.0230 0.3616 0.7518 (multiplicity 16)
F: 0.0498 0.1218 0.9646 (multiplicity 16)
F: 0.1065 0.2252 0.6608 (multiplicity 16)
F: 0.1346 0.3654 0.4825 (multiplicity 8)
F: 0.1436 0.3564 0.9913 (multiplicity 8)
F: 0.2439 0.2561 0.8285 (multiplicity 8)

Most intense lines, 2θ = 10–80°, in order of rising 2θ:
two_theta, I (rel.)
23.4, 30.3
24.6, 67.2
26.3, 78.3
26.9, 76.4
27.4, 100.0
29.0, 51.6
41.8, 48.9
43.1, 29.7
43.6, 49.4
50.4, 33.9

The following is a calculated PXRD pattern of Rb2NbO3F. It was derived from DFT lattice parameters and positions (PBE), using Cu Kα (weighted mean of Kα1 and Kα2).
No peak broadening, texture or thermal motion is included.

Cell and atoms:
a = 4.0094 Å, b = 4.0094 Å, c = 14.2377 Å
α = 90.00°, β = 90.00°, γ = 90.00°
Space group P4/nmm (No. 129, origin choice 2)
Inequivalent atoms, fractional coordinates:
Rb: 0.2500 0.2500 0.0916 (multiplicity 2)
Rb: 0.2500 0.2500 0.4043 (multiplicity 2)
Nb: 0.2500 0.2500 0.7596 (multiplicity 2)
O: 0.2500 0.2500 0.8894 (multiplicity 2)
O: 0.2500 0.7500 0.2553 (multiplicity 4)
F: 0.2500 0.2500 0.6004 (multiplicity 2)

Most intense lines, 2θ = 10–80°, in order of rising 2θ:
two_theta, I (rel.)
12.4, 11.6
29.2, 100.0
31.6, 56.9
37.9, 21.5
45.2, 30.7
50.1, 23.8
54.7, 34.4
60.5, 20.1
63.2, 9.3
65.9, 9.2

The following is a calculated PXRD pattern of NbSeOF7. It was derived from DFT lattice parameters and positions (PBE), using Cu Kα (weighted mean of Kα1 and Kα2).
No peak broadening, texture or thermal motion is included.

Cell and atoms:
a = 10.4924 Å, b = 7.3116 Å, c = 6.6443 Å
α = 90.00°, β = 90.00°, γ = 90.00°
Space group Pnma (No. 62)
Inequivalent atoms, fractional coordinates:
Nb: 0.1578 0.2500 0.1999 (multiplicity 4)
Se: 0.0012 0.7500 0.2624 (multiplicity 4)
O: 0.0169 0.2500 0.9869 (multiplicity 4)
F: 0.0090 0.2500 0.3725 (multiplicity 4)
F: 0.1088 0.0732 0.6869 (multiplicity 8)
F: 0.1468 0.5138 0.1995 (multiplicity 8)
F: 0.2229 0.7500 0.9086 (multiplicity 4)
F: 0.2278 0.7500 0.4803 (multiplicity 4)

Most intense lines, 2θ = 10–80°, in order of rising 2θ:
two_theta, I (rel.)
20.8, 54.0
21.6, 38.5
24.3, 73.5
24.8, 100.0
26.8, 47.8
34.2, 23.5
38.9, 25.8
39.4, 20.7
49.9, 20.2
53.1, 24.4